Starting from DFT lattice parameters and positions (GGA-PBE), the powder diffraction line list of Tb4CdAg2 was computed for λ = 1.5418 Å (Cu Kα).
No peak broadening, texture or thermal motion is included.

a b c (Å): 8.763 8.763 8.763
angles (deg): 34.29 34.29 34.29
Positions (direct):
Tb  0.117  0.117  0.117
Tb  0.370  0.370  0.370
Tb  0.630  0.630  0.630
Tb  0.883  0.883  0.883
Cd  0.500  0.500  0.500
Ag  0.246  0.246  0.246
Ag  0.754  0.754  0.754

Most intense lines, 10 to 90 degrees two-theta, low angle first:
- 24.56 deg, 3.624 Å, intensity 20
- 34.72 deg, 2.583 Å, intensity 100
- 35.30 deg, 2.543 Å, intensity 88
- 50.35 deg, 1.812 Å, intensity 32
- 62.24 deg, 1.492 Å, intensity 18
- 62.62 deg, 1.484 Å, intensity 33
- 63.73 deg, 1.460 Å, intensity 12
- 73.28 deg, 1.292 Å, intensity 11
- 84.04 deg, 1.152 Å, intensity 14
- 85.04 deg, 1.141 Å, intensity 11

Starting from DFT lattice parameters and positions (GGA-PBE), the powder diffraction line list of Tb4CdAg3 was computed for λ = 1.5418 Å (Cu Kα).
No peak broadening, texture or thermal motion is included.

a b c (Å): 3.670 5.213 10.398
angles (deg): 90.00 90.00 90.00
Positions (direct):
Tb  0.000  0.000  0.000
Tb  0.000  0.000  0.500
Tb  0.000  0.500  0.244
Tb  0.000  0.500  0.756
Cd  0.500  0.500  0.500
Ag  0.500  0.000  0.253
Ag  0.500  0.000  0.747
Ag  0.500  0.500  0.000

Most intense lines, 10 to 90 degrees two-theta, low angle first:
- 24.20 deg, 3.677 Å, intensity 5
- 34.45 deg, 2.603 Å, intensity 50
- 34.51 deg, 2.599 Å, intensity 100
- 49.52 deg, 1.841 Å, intensity 18
- 49.69 deg, 1.835 Å, intensity 9
- 61.69 deg, 1.503 Å, intensity 18
- 61.84 deg, 1.500 Å, intensity 36
- 72.77 deg, 1.300 Å, intensity 14
- 82.99 deg, 1.164 Å, intensity 12
- 83.23 deg, 1.161 Å, intensity 8